Simulated X-ray powder pattern
Compound: LiYB4H16
Radiation: Cu Ka
Structure: a structure optimized by DFT (GGA-PBE)

Largest 8 diffraction maxima, low angle first, 15 to 90 degrees two-theta:
- 19.9°, I = 100
- 24.5°, I = 54
- 31.6°, I = 17
- 31.8°, I = 30
- 34.8°, I = 19
- 35.0°, I = 27
- 43.1°, I = 17
- 43.2°, I = 17

Atomic structure:
```
LiYB4H16
1.0
6.2792 0.0000 0.0000
0.0000 6.2792 0.0000
0.0000 0.0000 6.3332
Li Y B H
1 1 4 16
direct
0.0000 0.0000 0.0000 Li
0.5000 0.5000 0.0000 Y
0.2554 0.2554 0.8094 B
0.2554 0.7446 0.1906 B
0.7446 0.2554 0.1906 B
0.7446 0.7446 0.8094 B
0.1367 0.1367 0.7156 H
0.1367 0.8633 0.2844 H
0.2177 0.4445 0.7667 H
0.2177 0.5555 0.2333 H
0.2390 0.2390 0.0037 H
0.2390 0.7610 0.9963 H
0.4445 0.2177 0.7667 H
0.4445 0.7823 0.2333 H
0.5555 0.2177 0.2333 H
0.5555 0.7823 0.7667 H
0.7610 0.2390 0.9963 H
0.7610 0.7610 0.0037 H
0.7823 0.4445 0.2333 H
0.7823 0.5555 0.7667 H
0.8633 0.1367 0.2844 H
0.8633 0.8633 0.7156 H
```